For Pm2Pa2Sb2C, a DFT-relaxed cell (PBE, Alexandria) gives the simulated X-ray powder pattern in this record (CuKα).
Neutral-atom scattering factors, no anomalous dispersion.

Atomic structure:
Lattice parameters (Å, degrees): 4.6672 4.6672 16.7452 90.00 90.00 90.00
Atoms (fractional coordinates):
Pm 0.0000 0.0000 0.1658
Pm 0.0000 0.0000 0.8342
Pm 0.5000 0.5000 0.3342
Pm 0.5000 0.5000 0.6658
Pa 0.0000 0.5000 0.0000
Pa 0.0000 0.5000 0.5000
Pa 0.5000 0.0000 0.0000
Pa 0.5000 0.0000 0.5000
Sb 0.0000 0.0000 0.3602
Sb 0.0000 0.0000 0.6398
Sb 0.5000 0.5000 0.1398
Sb 0.5000 0.5000 0.8602
C 0.0000 0.0000 0.0000
C 0.5000 0.5000 0.5000

Principal peaks in the range 10° ≤ 2θ ≤ 80°, in order of rising 2θ:
- 10.57°, d = 8.373 Å, intensity 42.9
- 29.08°, d = 3.070 Å, intensity 92.7
- 32.07°, d = 2.791 Å, intensity 35.7
- 34.61°, d = 2.592 Å, intensity 100.0
- 38.58°, d = 2.334 Å, intensity 55.3
- 51.01°, d = 1.790 Å, intensity 39.1
- 55.70°, d = 1.650 Å, intensity 19.1
- 64.06°, d = 1.453 Å, intensity 20.7
- 65.74°, d = 1.420 Å, intensity 18.3
- 67.26°, d = 1.392 Å, intensity 29.7

***

For PmPaCSe, a DFT-relaxed cell (PBE, Alexandria) gives the simulated X-ray powder pattern in this record (CuKα).
Neutral-atom scattering factors, no anomalous dispersion.

Atomic structure:
Lattice parameters (Å, degrees): 14.0427 14.0427 14.0427 16.18 16.18 16.18
Atoms (fractional coordinates):
Pm 0.2029 0.2029 0.2029
Pm 0.7971 0.7971 0.7971
Pa 0.3678 0.3678 0.3678
Pa 0.6322 0.6322 0.6322
C 0.3119 0.3119 0.3119
C 0.6881 0.6881 0.6881
Se 0.0843 0.0843 0.0843
Se 0.9157 0.9157 0.9157

Principal peaks in the range 10° ≤ 2θ ≤ 80°, in order of rising 2θ:
- 25.72°, d = 3.464 Å, intensity 19.8
- 27.44°, d = 3.250 Å, intensity 35.2
- 28.20°, d = 3.164 Å, intensity 26.0
- 30.14°, d = 2.965 Å, intensity 100.0
- 35.39°, d = 2.537 Å, intensity 36.8
- 40.21°, d = 2.243 Å, intensity 17.3
- 45.93°, d = 1.976 Å, intensity 43.9
- 53.39°, d = 1.716 Å, intensity 16.8
- 55.93°, d = 1.644 Å, intensity 17.9
- 61.80°, d = 1.501 Å, intensity 19.0

***

For Pa4PtC2, a DFT-relaxed cell (PBE, Alexandria) gives the simulated X-ray powder pattern in this record (CuKα).
Neutral-atom scattering factors, no anomalous dispersion.

Atomic structure:
Lattice parameters (Å, degrees): 6.1409 6.1409 13.0410 90.00 90.00 146.15
Atoms (fractional coordinates):
Pa 0.0000 0.0000 0.0000
Pa 0.0000 0.0000 0.5000
Pa 0.2764 0.7236 0.6060
Pa 0.2764 0.7236 0.8940
Pa 0.4177 0.5823 0.2500
Pa 0.5823 0.4177 0.7500
Pa 0.7236 0.2764 0.1060
Pa 0.7236 0.2764 0.3940
Pt 0.1068 0.8932 0.2500
Pt 0.8932 0.1068 0.7500
C 0.3652 0.6348 0.0667
C 0.3652 0.6348 0.4333
C 0.6348 0.3652 0.5667
C 0.6348 0.3652 0.9333

Principal peaks in the range 10° ≤ 2θ ≤ 80°, in order of rising 2θ:
- 29.49°, d = 3.029 Å, intensity 21.1
- 31.38°, d = 2.851 Å, intensity 88.6
- 33.33°, d = 2.688 Å, intensity 100.0
- 33.46°, d = 2.678 Å, intensity 42.6
- 34.66°, d = 2.588 Å, intensity 98.7
- 36.72°, d = 2.448 Å, intensity 28.2
- 51.07°, d = 1.788 Å, intensity 35.9
- 54.55°, d = 1.682 Å, intensity 18.4
- 60.85°, d = 1.522 Å, intensity 30.1
- 61.18°, d = 1.515 Å, intensity 31.4

***

For PuPaCS2, a DFT-relaxed cell (PBE, Alexandria) gives the simulated X-ray powder pattern in this record (CuKα).
Neutral-atom scattering factors, no anomalous dispersion.

Atomic structure:
Lattice parameters (Å, degrees): 3.8771 3.8771 13.8181 90.00 90.00 90.00
Atoms (fractional coordinates):
Pu 0.2500 0.2500 0.1130
Pu 0.7500 0.7500 0.8870
Pa 0.2500 0.2500 0.5912
Pa 0.7500 0.7500 0.4088
C 0.2500 0.7500 0.5000
C 0.7500 0.2500 0.5000
S 0.2500 0.2500 0.3076
S 0.2500 0.2500 0.9069
S 0.7500 0.7500 0.0931
S 0.7500 0.7500 0.6924

Principal peaks in the range 10° ≤ 2θ ≤ 80°, in order of rising 2θ:
- 12.81°, d = 6.909 Å, intensity 14.7
- 25.79°, d = 3.455 Å, intensity 26.2
- 26.36°, d = 3.381 Å, intensity 100.0
- 32.66°, d = 2.741 Å, intensity 53.3
- 34.78°, d = 2.579 Å, intensity 20.9
- 42.08°, d = 2.147 Å, intensity 32.6
- 45.83°, d = 1.980 Å, intensity 13.6
- 46.87°, d = 1.939 Å, intensity 21.2
- 54.26°, d = 1.691 Å, intensity 14.4
- 54.57°, d = 1.682 Å, intensity 29.5

***

For Pu2PaTcC4, a DFT-relaxed cell (PBE, Alexandria) gives the simulated X-ray powder pattern in this record (CuKα).
Neutral-atom scattering factors, no anomalous dispersion.

Atomic structure:
Lattice parameters (Å, degrees): 6.0842 6.0842 11.8804 90.00 90.00 147.31
Atoms (fractional coordinates):
Pu 0.1328 0.8672 0.5437
Pu 0.1328 0.8672 0.9563
Pu 0.8672 0.1328 0.0437
Pu 0.8672 0.1328 0.4563
Pa 0.3871 0.6129 0.7500
Pa 0.6129 0.3871 0.2500
Tc 0.3528 0.6472 0.2500
Tc 0.6472 0.3528 0.7500
C 0.0424 0.9576 0.7500
C 0.2317 0.7683 0.1308
C 0.2317 0.7683 0.3692
C 0.5000 0.5000 0.0000
C 0.5000 0.5000 0.5000
C 0.7683 0.2317 0.6308
C 0.7683 0.2317 0.8692
C 0.9576 0.0424 0.2500

Principal peaks in the range 10° ≤ 2θ ≤ 80°, in order of rising 2θ:
- 27.21°, d = 3.278 Å, intensity 66.0
- 30.09°, d = 2.970 Å, intensity 34.8
- 30.63°, d = 2.919 Å, intensity 59.5
- 31.10°, d = 2.876 Å, intensity 100.0
- 35.73°, d = 2.513 Å, intensity 19.6
- 38.14°, d = 2.360 Å, intensity 77.5
- 43.47°, d = 2.082 Å, intensity 23.4
- 47.20°, d = 1.926 Å, intensity 25.7
- 49.68°, d = 1.835 Å, intensity 23.0
- 52.41°, d = 1.746 Å, intensity 31.0

***

For Pa2Re2C3, a DFT-relaxed cell (PBE, Alexandria) gives the simulated X-ray powder pattern in this record (CuKα).
Neutral-atom scattering factors, no anomalous dispersion.

Atomic structure:
Lattice parameters (Å, degrees): 12.0421 3.1879 5.6319 90.00 113.06 90.00
Atoms (fractional coordinates):
Pa 0.1024 0.0000 0.3066
Pa 0.3976 0.5000 0.6934
Pa 0.6024 0.5000 0.3066
Pa 0.8976 0.0000 0.6934
Re 0.1553 0.5000 0.8350
Re 0.3447 0.0000 0.1650
Re 0.6553 0.0000 0.8350
Re 0.8447 0.5000 0.1650
C 0.0000 0.5000 0.5000
C 0.2498 0.0000 0.7509
C 0.2502 0.5000 0.2491
C 0.5000 0.0000 0.5000
C 0.7502 0.0000 0.2491
C 0.7498 0.5000 0.7509

Principal peaks in the range 10° ≤ 2θ ≤ 80°, in order of rising 2θ:
- 30.04°, d = 2.975 Å, intensity 28.4
- 31.89°, d = 2.806 Å, intensity 43.8
- 32.31°, d = 2.771 Å, intensity 66.6
- 34.62°, d = 2.591 Å, intensity 29.6
- 35.62°, d = 2.520 Å, intensity 100.0
- 36.84°, d = 2.440 Å, intensity 96.1
- 37.08°, d = 2.424 Å, intensity 19.4
- 50.13°, d = 1.820 Å, intensity 21.9
- 57.08°, d = 1.614 Å, intensity 25.9
- 67.54°, d = 1.387 Å, intensity 21.0

***

For Zr2PaReC4, a DFT-relaxed cell (PBE, Alexandria) gives the simulated X-ray powder pattern in this record (CuKα).
Neutral-atom scattering factors, no anomalous dispersion.

Atomic structure:
Lattice parameters (Å, degrees): 6.0689 6.0689 11.4617 90.00 90.00 148.04
Atoms (fractional coordinates):
Zr 0.1304 0.8696 0.5387
Zr 0.1304 0.8696 0.9613
Zr 0.8696 0.1304 0.0387
Zr 0.8696 0.1304 0.4613
Pa 0.3900 0.6100 0.7500
Pa 0.6100 0.3900 0.2500
Re 0.3488 0.6512 0.2500
Re 0.6512 0.3488 0.7500
C 0.0492 0.9508 0.7500
C 0.2344 0.7656 0.1241
C 0.2344 0.7656 0.3759
C 0.5000 0.5000 0.0000
C 0.5000 0.5000 0.5000
C 0.7656 0.2344 0.6241
C 0.7656 0.2344 0.8759
C 0.9508 0.0492 0.2500

Principal peaks in the range 10° ≤ 2θ ≤ 80°, in order of rising 2θ:
- 15.46°, d = 5.731 Å, intensity 57.2
- 30.65°, d = 2.917 Å, intensity 51.3
- 31.21°, d = 2.865 Å, intensity 50.8
- 31.93°, d = 2.802 Å, intensity 100.0
- 36.30°, d = 2.475 Å, intensity 19.8
- 38.85°, d = 2.318 Å, intensity 85.0
- 44.31°, d = 2.044 Å, intensity 31.8
- 50.27°, d = 1.815 Å, intensity 20.0
- 54.95°, d = 1.671 Å, intensity 15.5
- 64.56°, d = 1.444 Å, intensity 23.7

***

For Pa2Sn2Ru4C, a DFT-relaxed cell (PBE, Alexandria) gives the simulated X-ray powder pattern in this record (CuKα).
Neutral-atom scattering factors, no anomalous dispersion.

Atomic structure:
Lattice parameters (Å, degrees): 6.0100 6.0100 6.0100 117.58 117.58 94.25
Atoms (fractional coordinates):
Pa 0.2184 0.2184 0.0000
Pa 0.7816 0.7816 0.0000
Sn 0.2500 0.7500 0.5000
Sn 0.7500 0.2500 0.5000
Ru 0.2527 0.2527 0.5053
Ru 0.2527 0.7473 0.0000
Ru 0.7473 0.2527 0.0000
Ru 0.7473 0.7473 0.4947
C 0.5000 0.5000 0.0000

Principal peaks in the range 10° ≤ 2θ ≤ 80°, in order of rising 2θ:
- 20.16°, d = 4.404 Å, intensity 9.2
- 28.66°, d = 3.114 Å, intensity 6.8
- 36.26°, d = 2.478 Å, intensity 100.0
- 40.98°, d = 2.202 Å, intensity 39.5
- 44.30°, d = 2.045 Å, intensity 12.2
- 59.35°, d = 1.557 Å, intensity 13.4
- 61.93°, d = 1.498 Å, intensity 18.1
- 71.57°, d = 1.318 Å, intensity 28.0
- 76.25°, d = 1.249 Å, intensity 6.9
- 76.97°, d = 1.239 Å, intensity 9.7